The following is a computed powder diffractogram of Mg14CrW. It was derived from a DFT-relaxed cell (PBE, the Materials Project), using Cu Ka.
Kinematic intensities with the Lorentz-polarization factor, no thermal factor.

Most intense lines, 10° ≤ 2θ ≤ 90°, in order of rising 2θ:
2θ/deg	Rel. int.
18.47	40
18.80	35
33.46	33
35.92	39
37.45	57
38.12	100

```
data_Mg14CrW
_chemical_formula_sum 'Mg28 Cr2 W2'
_space_group_name_H-M_alt 'A m m 2'
_space_group_IT_number 38
_cell_length_a 9.9995
_cell_length_b 6.1392
_cell_length_c 10.9533
_cell_angle_alpha 90.00
_cell_angle_beta 90.00
_cell_angle_gamma 90.00
loop_
_space_group_symop_operation_xyz
'x,y,z'
'-x,-y,z'
'-x,y,z'
'x,-y,z'
'x,y+1/2,z+1/2'
'-x,-y+1/2,z+1/2'
'-x,y+1/2,z+1/2'
'x,-y+1/2,z+1/2'
loop_
_atom_site_label
_atom_site_fract_x
_atom_site_fract_y
_atom_site_fract_z
Mg1 0.0000 0.0000 0.0000
Mg2 0.0000 0.0000 0.4990
Mg3 0.0000 0.2494 0.2511
Mg4 0.2534 0.0000 0.6618
Mg5 0.2572 0.0000 0.1605
Mg6 0.2631 0.2462 0.9193
Mg7 0.5000 0.2496 0.2508
Cr1 0.5000 0.0000 0.5012
W1 0.5000 0.0000 0.0056
```